Diffraction record for Rb2RhF6. The powder diffractogram is theoretical, not measured: it uses a cell relaxed with PBE and Cu Ka.

Principal peaks in the range 2θ from 15° to 90°, low angle first:
index	2θ/deg	intensity
1 0 1	24.7	100
1 1 0	29.7	56
0 2 1	39.0	67
0 1 2	40.1	28
2 1 1	49.8	26
2 0 2	50.7	23
1 2 2	59.9	21
2 2 0	61.7	16
1 1 3	64.0	14
1 3 1	67.5	12

Cell and atoms:
Lattice parameters (Å, degrees): 6.0111 6.0111 4.9869 90.00 90.00 120.00
Space group P-3m1 (No. 164)
Unique sites:
Rb  0.3333  0.6667  0.2019 [2 per cell]
Rh  0.0000  0.0000  0.5000 [1 per cell]
F  0.1567  0.3135  0.7165 [6 per cell]